Structure and theoretical PXRD pattern of Nd5Sm5Sc2 (a crystal structure in Alexandria, relaxed with PBE; copper Kα).

Unit cell a=6.201 b=8.038 c=8.801 alpha=68.47 beta=89.59 gamma=74.98
Atoms (fractional coordinates):
Nd  0.000  0.000  0.000
Nd  0.082  0.255  0.582
Nd  0.252  0.741  0.756
Nd  0.748  0.259  0.244
Nd  0.918  0.745  0.418
Sm  0.332  0.007  0.330
Sm  0.414  0.256  0.917
Sm  0.500  0.500  0.500
Sm  0.586  0.744  0.083
Sm  0.668  0.993  0.670
Sc  0.161  0.501  0.162
Sc  0.839  0.499  0.838

Most intense lines, 2θ = 10–90°, by angle:
30.51 deg, I = 100, (2 1 1); 35.29 deg, I = 34, (1 3 2); 35.54 deg, I = 17, (2 0 -2); 50.95 deg, I = 24, (3 -1 0); 60.37 deg, I = 21, (3 4 3); 60.72 deg, I = 14, (4 1 -1)